# Mg8SiSn3
Calculated powder XRD pattern, Cu Kα. Input: a GGA-PBE-relaxed structure.

Cell and atoms:
a = 6.6995 Å, b = 6.6995 Å, c = 6.6995 Å
α = 90.00°, β = 90.00°, γ = 90.00°
Fractional coordinates of all 12 atoms:
Mg 0.2436 0.2436 0.2436
Mg 0.2436 0.2436 0.7564
Mg 0.2436 0.7564 0.2436
Mg 0.2436 0.7564 0.7564
Mg 0.7564 0.2436 0.2436
Mg 0.7564 0.2436 0.7564
Mg 0.7564 0.7564 0.2436
Mg 0.7564 0.7564 0.7564
Si 0.0000 0.0000 0.0000
Sn 0.0000 0.5000 0.5000
Sn 0.5000 0.0000 0.5000
Sn 0.5000 0.5000 0.0000

Principal peaks in the range 5° ≤ 2θ ≤ 70°, sorted by position:
(hkl)  2theta  intensity
1 0 0  13.22  11
1 1 0  18.73  13
1 1 1  22.99  100
2 0 0  26.61  11
2 1 0  29.82  10
2 1 1  32.74  7
2 2 0  37.99  95
3 1 1  44.87  52
4 0 0  54.81  16
3 3 1  60.21  22
4 2 0  61.94  5
4 2 2  68.63  33